[1]
Diffraction record for CeMgH6Ir2. The PXRD pattern is simulated, not measured: it uses a cell relaxed with PBE and a wavelength of 1.5418 Å.

The 10 most intense peaks (2θ = 10–90°), most intense first:
39.2 deg, I = 100, (1 1 0)
36.5 deg, I = 93, (0 1 5)
32.1 deg, I = 80, (1 0 4)
23.1 deg, I = 56, (1 0 1)
25.1 deg, I = 31, (0 1 2)
54.7 deg, I = 29, (2 0 5)
69.3 deg, I = 29, (1 2 5)
67.6 deg, I = 24, (1 1 9)
51.5 deg, I = 21, (0 2 4)
66.6 deg, I = 20, (2 1 4)

Atomic structure:
```
data_CeMgH6Ir2
_cell_length_a 4.5959
_cell_length_b 4.5959
_cell_length_c 15.6346
_cell_angle_alpha 90.00
_cell_angle_beta 90.00
_cell_angle_gamma 120.00
_space_group_name_H-M_alt 'R -3 m'
_space_group_IT_number 166
_space_group_name_Hall '-R 3 2"'
loop_
_atom_site_label
_atom_site_type_symbol
_atom_site_fract_x
_atom_site_fract_y
_atom_site_fract_z
Ce1 Ce 0.0000 0.0000 0.0000
Mg1 Mg 0.0000 0.0000 0.5000
H1 H 0.0035 0.5018 0.0603
Ir1 Ir 0.0000 0.0000 0.2103
```

---

[2]
Diffraction record for La3Cd2In4. The PXRD pattern is simulated, not measured: it uses a cell relaxed with PBE and a wavelength of 1.5418 Å.

The 10 most intense peaks (2θ = 10–90°), most intense first:
30.6 deg, I = 100, (4 0 -1)
36.0 deg, I = 73, (0 2 0)
47.9 deg, I = 28, (4 2 -1)
59.5 deg, I = 23, (4 2 2)
61.3 deg, I = 18, (7 1 -4)
45.7 deg, I = 9, (4 0 2)
61.4 deg, I = 9, (1 3 2)
64.7 deg, I = 8, (3 3 -3)
82.8 deg, I = 6, (1 3 5)
76.2 deg, I = 5, (6 2 -6)

Atomic structure:
```
data_La3Cd2In4
_cell_length_a 11.7521
_cell_length_b 4.9855
_cell_length_c 9.5273
_cell_angle_alpha 90.00
_cell_angle_beta 112.83
_cell_angle_gamma 90.00
_space_group_name_H-M_alt 'C 1 2/m 1'
_space_group_IT_number 12
_space_group_name_Hall '-C 2y'
loop_
_atom_site_label
_atom_site_type_symbol
_atom_site_fract_x
_atom_site_fract_y
_atom_site_fract_z
La1 La 0.0000 0.0000 0.0000
La2 La 0.1707 0.5000 0.6661
Cd1 Cd 0.0998 0.5000 0.2695
In1 In 0.0739 0.0000 0.4091
In2 In 0.1964 0.5000 0.0299
```

---

[3]
Diffraction record for Tl3BiTe3. The PXRD pattern is simulated, not measured: it uses a cell relaxed with PBE and a wavelength of 1.5418 Å.

The 10 most intense peaks (2θ = 10–90°), most intense first:
27.1 deg, I = 100, (4 0 0)
38.7 deg, I = 78, (4 4 0)
63.2 deg, I = 36, (8 4 0)
47.9 deg, I = 28, (4 4 4)
70.0 deg, I = 26, (8 4 4)
23.4 deg, I = 26, (2 2 2)
89.3 deg, I = 18, (12 0 0)
45.7 deg, I = 15, (6 2 2)
55.9 deg, I = 13, (8 0 0)
83.0 deg, I = 8, (8 8 0)

Atomic structure:
```
data_Tl3BiTe3
_cell_length_a 13.1670
_cell_length_b 13.1670
_cell_length_c 13.1670
_cell_angle_alpha 90.00
_cell_angle_beta 90.00
_cell_angle_gamma 90.00
_space_group_name_H-M_alt 'I 41 3 2'
_space_group_IT_number 214
_space_group_name_Hall 'I 4bd 2c 3'
loop_
_atom_site_label
_atom_site_type_symbol
_atom_site_fract_x
_atom_site_fract_y
_atom_site_fract_z
Tl1 Tl 0.1223 0.3750 0.3723
Bi1 Bi 0.1250 0.1250 0.1250
Te1 Te 0.1159 0.3659 0.1250
```

---

[4]
Diffraction record for LaTb4Pr7. The PXRD pattern is simulated, not measured: it uses a cell relaxed with PBE and a wavelength of 1.5418 Å.

The 10 most intense peaks (2θ = 10–90°), most intense first:
31.0 deg, I = 100, (2 0 -2)
32.6 deg, I = 90, (2 0 1)
30.3 deg, I = 51, (0 0 3)
58.9 deg, I = 46, (3 2 -4)
49.3 deg, I = 39, (3 2 -1)
28.0 deg, I = 36, (1 -2 0)
53.1 deg, I = 21, (2 0 -5)
56.3 deg, I = 20, (2 0 4)
83.8 deg, I = 19, (-3 2 7)
28.7 deg, I = 18, (-1 2 1)

Atomic structure:
```
data_LaTb4Pr7
_cell_length_a 6.4088
_cell_length_b 7.3997
_cell_length_c 9.1112
_cell_angle_alpha 90.01
_cell_angle_beta 103.54
_cell_angle_gamma 90.02
_space_group_name_H-M_alt 'P -1'
_space_group_IT_number 2
_space_group_name_Hall '-P 1'
loop_
_atom_site_label
_atom_site_type_symbol
_atom_site_fract_x
_atom_site_fract_y
_atom_site_fract_z
La1 La 0.0000 0.0000 0.0000
Tb1 Tb 0.2185 0.4996 0.6648
Tb2 Tb 0.2775 0.7452 0.3341
Pr1 Pr 0.0000 0.5000 0.0000
Pr2 Pr 0.2235 0.9999 0.6654
Pr3 Pr 0.2799 0.2526 0.3358
Pr4 Pr 0.4997 0.2535 0.9979
```

---

[5]
Diffraction record for Si2O5. The PXRD pattern is simulated, not measured: it uses a cell relaxed with PBE and a wavelength of 1.5418 Å.

The 10 most intense peaks (2θ = 10–90°), most intense first:
22.2 deg, I = 100, (0 1 1)
25.2 deg, I = 36, (3 1 0)
15.4 deg, I = 32, (1 1 0)
39.3 deg, I = 18, (3 2 1)
28.2 deg, I = 16, (4 0 0)
35.1 deg, I = 13, (0 0 2)
61.5 deg, I = 7, (7 2 1)
55.8 deg, I = 6, (0 1 3)
75.9 deg, I = 6, (0 5 1)
45.2 deg, I = 6, (0 2 2)

Atomic structure:
```
data_Si2O5
_cell_length_a 12.6543
_cell_length_b 6.4653
_cell_length_c 5.1098
_cell_angle_alpha 90.00
_cell_angle_beta 90.00
_cell_angle_gamma 90.00
_space_group_name_H-M_alt 'I m a 2'
_space_group_IT_number 46
_space_group_name_Hall 'I 2 -2a'
loop_
_atom_site_label
_atom_site_type_symbol
_atom_site_fract_x
_atom_site_fract_y
_atom_site_fract_z
Si1 Si 0.1137 0.1097 0.0000
O1 O 0.0000 0.0000 0.0379
O2 O 0.1286 0.2011 0.7065
O3 O 0.1924 0.5907 0.5580
```

---

[6]
Diffraction record for BaScI. The PXRD pattern is simulated, not measured: it uses a cell relaxed with PBE and a wavelength of 1.5418 Å.

The 10 most intense peaks (2θ = 10–90°), most intense first:
28.8 deg, I = 100, (1 1 2)
26.1 deg, I = 86, (1 2 1)
31.8 deg, I = 38, (2 0 0)
43.3 deg, I = 36, (0 3 3)
28.6 deg, I = 29, (0 3 1)
40.6 deg, I = 26, (1 4 1)
34.9 deg, I = 19, (0 1 3)
54.7 deg, I = 17, (2 3 3)
54.8 deg, I = 16, (3 1 2)
17.5 deg, I = 15, (0 2 0)

Atomic structure:
```
data_BaScI
_cell_length_a 5.6339
_cell_length_b 10.1618
_cell_length_c 7.9684
_cell_angle_alpha 90.00
_cell_angle_beta 90.00
_cell_angle_gamma 90.00
_space_group_name_H-M_alt 'I m a 2'
_space_group_IT_number 46
_space_group_name_Hall 'I 2 -2a'
loop_
_atom_site_label
_atom_site_type_symbol
_atom_site_fract_x
_atom_site_fract_y
_atom_site_fract_z
Ba1 Ba 0.2500 0.1802 0.0000
Sc1 Sc 0.2500 0.5613 0.1730
I1 I 0.2500 0.6517 0.8032
```

---

Which formula does entry 6 have? BaScI